No. 1
Starting from a GGA-PBE-relaxed structure, the powder diffractogram of Dy4CdOs was simulated for Cu Kα.
Intensities are scaled so that the largest is 100.

Main lines, in order of falling intensity (10° ≤ 2θ ≤ 90°):
two_theta	d [Å]	intensity
32.80	2.730	100.0
12.64	7.004	77.3
32.03	2.794	73.0
35.89	2.502	64.6
35.80	2.508	49.3
36.51	2.461	42.3
34.59	2.593	38.6
13.75	6.438	38.6
29.53	3.025	32.9
29.83	2.995	32.7

```
Dy4CdOs
1.0
4.367 -6.438 0.000
4.367 6.438 0.000
-1.815 0.000 5.899
Dy Cd Os
8 2 2
Direct
0.065 0.724 0.953
0.200 0.356 0.608
0.276 0.935 0.547
0.356 0.200 0.108
0.644 0.800 0.892
0.724 0.065 0.453
0.800 0.644 0.392
0.935 0.276 0.047
0.375 0.625 0.250
0.625 0.375 0.750
0.001 0.999 0.750
0.999 0.001 0.250
```

No. 2
Starting from a GGA-PBE-relaxed structure, the powder diffractogram of Dy3Cd2Os was simulated for Cu Kα.
Intensities are scaled so that the largest is 100.

Main lines, in order of falling intensity (10° ≤ 2θ ≤ 90°):
two_theta	d [Å]	intensity
34.55	2.596	100.0
35.77	2.510	24.6
36.01	2.494	23.3
63.49	1.465	17.0
51.67	1.769	16.6
63.80	1.459	15.5
11.58	7.642	10.6
72.86	1.298	9.0
47.59	1.911	8.2
60.94	1.520	7.8

```
Dy3Cd2Os
1.0
2.510 -7.482 0.000
2.510 7.482 0.000
0.000 0.000 7.642
Dy Cd Os
6 4 2
Direct
0.000 0.000 0.228
0.000 0.000 0.772
0.325 0.675 0.218
0.325 0.675 0.782
0.675 0.325 0.218
0.675 0.325 0.782
0.166 0.834 0.500
0.500 0.500 0.000
0.500 0.500 0.500
0.834 0.166 0.500
0.162 0.838 0.000
0.838 0.162 0.000
```

No. 3
Starting from a GGA-PBE-relaxed structure, the powder diffractogram of Dy3CdOs was simulated for Cu Kα.
Intensities are scaled so that the largest is 100.

Main lines, in order of falling intensity (10° ≤ 2θ ≤ 90°):
two_theta	d [Å]	intensity
35.02	2.562	100.0
35.46	2.532	64.7
31.35	2.853	57.4
32.31	2.771	53.3
40.17	2.245	42.5
38.26	2.353	39.9
10.97	8.068	37.2
57.12	1.613	29.8
35.17	2.552	27.0
37.02	2.429	23.7

```
Dy3CdOs
1.0
0.000 4.857 8.068
3.252 0.000 8.068
3.252 4.857 0.000
Dy Cd Os
6 2 2
Direct
0.199 0.579 0.421
0.201 0.201 0.799
0.421 0.801 0.199
0.579 0.199 0.801
0.799 0.799 0.201
0.801 0.421 0.579
0.208 0.792 0.792
0.792 0.208 0.208
0.250 0.250 0.250
0.750 0.750 0.750
```

No. 4
Starting from a GGA-PBE-relaxed structure, the powder diffractogram of PmDyCdOs was simulated for Cu Kα.
Intensities are scaled so that the largest is 100.

Main lines, in order of falling intensity (10° ≤ 2θ ≤ 90°):
two_theta	d [Å]	intensity
35.33	2.540	100.0
63.43	1.467	36.4
50.83	1.796	17.8
85.47	1.136	16.2
74.74	1.270	11.3
21.42	4.148	3.2
41.69	2.166	1.9
55.77	1.648	0.9
78.81	1.214	0.7
67.77	1.383	0.7

```
PmDyCdOs
1.0
7.185 0.000 0.000
0.000 7.185 0.000
0.000 0.000 7.185
Pm Dy Cd Os
4 4 4 4
Direct
0.000 0.000 0.000
0.000 0.500 0.500
0.500 0.000 0.500
0.500 0.500 0.000
0.000 0.000 0.500
0.000 0.500 0.000
0.500 0.000 0.000
0.500 0.500 0.500
0.250 0.250 0.750
0.250 0.750 0.250
0.750 0.250 0.250
0.750 0.750 0.750
0.250 0.250 0.250
0.250 0.750 0.750
0.750 0.250 0.750
0.750 0.750 0.250
```